# HfCdSO2
Calculated powder X-ray diffraction pattern, Cu Ka. Input: the PBE geometry in OQMD.

Atomic structure:
a = 3.9604 Å, b = 3.8981 Å, c = 5.5479 Å
α = 90.00°, β = 95.22°, γ = 90.00°
Fractional positions:
Hf  0.0000  0.0000  0.0000
Cd  0.5436  0.5000  0.3649
S  0.9369  0.0000  0.5549
O  0.0354  0.5000  0.1047
O  0.5106  0.0000  0.0674

Main lines, low angle first (2θ = 5–70°):
index, two_theta, d (Å), I/Imax
0 0 1, 16.04, 5.525, 568
1 0 -1, 26.55, 3.358, 536
0 1 1, 28.01, 3.185, 1000
1 0 1, 28.99, 3.080, 446
1 1 0, 32.29, 2.772, 939
0 0 2, 32.41, 2.762, 260
1 0 -2, 38.03, 2.366, 271
0 1 2, 40.00, 2.254, 431
0 2 0, 46.60, 1.949, 259
1 1 2, 47.95, 1.897, 241